No. 1
Starting from a crystal structure in the Materials Project, relaxed with GGA-PBE, the powder X-ray diffraction pattern of Mg2VNi3S8 was simulated for λ = 1.5418 Å (Cu Kα).

Principal peaks in the range 2θ = 15–90°, in order of rising 2θ:
15.3 deg, intensity 64, hkl 0 0 1; 15.5 deg, intensity 34, hkl 2 0 -1; 29.6 deg, intensity 47, hkl 2 0 1; 29.7 deg, intensity 11, hkl 1 1 -2; 29.8 deg, intensity 18, hkl 4 0 -1; 36.0 deg, intensity 100, hkl 4 0 0; 47.2 deg, intensity 13, hkl 4 0 1; 47.3 deg, intensity 25, hkl 2 2 -3; 47.5 deg, intensity 18, hkl 6 0 -1; 51.6 deg, intensity 47, hkl 2 2 2; 52.0 deg, intensity 44, hkl 6 2 -2; 76.4 deg, intensity 12, hkl 8 0 0

Crystal structure
```
data_Mg2VNi3S8
_chemical_formula_sum 'Mg4 V2 Ni6 S16'
_cell_length_a 12.152
_cell_length_b 7.087
_cell_length_c 7.025
_cell_angle_alpha 90.00
_cell_angle_beta 124.79
_cell_angle_gamma 90.00
_symmetry_space_group_name_H-M 'C 1 2/m 1'
_symmetry_Int_Tables_number 12
loop_
_symmetry_equiv_pos_as_xyz
'x,y,z'
'-x,-y,-z'
'-x,y,-z'
'x,-y,z'
'x+1/2,y+1/2,z'
'-x+1/2,-y+1/2,-z'
'-x+1/2,y+1/2,-z'
'x+1/2,-y+1/2,z'
loop_
_atom_site_label
_atom_site_fract_x
_atom_site_fract_y
_atom_site_fract_z
Mg1 0.125 0.000 0.374
V1 0.000 0.500 0.000
Ni1 0.000 0.500 0.500
Ni2 0.250 0.250 0.000
S1 0.016 0.279 0.763
S2 0.233 0.500 0.768
S3 0.237 0.500 0.205
```

No. 2
Starting from a crystal structure in the Materials Project, relaxed with GGA-PBE, the powder X-ray diffraction pattern of Ca2SiO4 was simulated for λ = 1.5418 Å (Cu Kα).

Principal peaks in the range 2θ = 15–90°, in order of rising 2θ:
30.8 deg, intensity 15, hkl 1 2 -1; 31.8 deg, intensity 100, hkl 1 0 2; 32.2 deg, intensity 48, hkl 2 0 -2; 32.5 deg, intensity 15, hkl 0 2 2; 32.7 deg, intensity 19, hkl 1 2 -2; 34.1 deg, intensity 37, hkl 1 0 -4; 39.2 deg, intensity 16, hkl 0 2 3; 40.9 deg, intensity 40, hkl 0 3 1; 45.3 deg, intensity 28, hkl 2 2 0; 55.7 deg, intensity 13, hkl 3 0 0; 56.5 deg, intensity 11, hkl 3 2 -3; 60.1 deg, intensity 11, hkl 3 0 -6

Crystal structure
```
data_Ca2SiO4
_chemical_formula_sum 'Ca8 Si4 O16'
_cell_length_a 5.576
_cell_length_b 6.816
_cell_length_c 10.523
_cell_angle_alpha 90.00
_cell_angle_beta 117.31
_cell_angle_gamma 90.00
_symmetry_space_group_name_H-M 'P 1 21/c 1'
_symmetry_Int_Tables_number 14
loop_
_symmetry_equiv_pos_as_xyz
'x,y,z'
'-x,-y,-z'
'-x,y+1/2,-z+1/2'
'x,-y+1/2,z+1/2'
loop_
_atom_site_label
_atom_site_fract_x
_atom_site_fract_y
_atom_site_fract_z
Ca1 0.019 0.003 0.297
Ca2 0.296 0.659 0.569
Si1 0.350 0.219 0.582
O1 0.149 0.168 0.136
O2 0.275 0.513 0.056
O3 0.279 0.169 0.928
O4 0.328 0.749 0.804
```